1.
For Nd2DySb3, the GGA-PBE geometry in Alexandria gives the theoretical PXRD pattern in this record (λ = 1.5418 Å (Cu Kα)).

Atomic structure:
Unit cell a=7.7593 b=7.7593 c=7.7547 alpha=99.60 beta=99.60 gamma=120.00
Element x y z (fractional)
Nd: 0.0000 0.0000 0.0000
Nd: 0.1648 0.8352 0.5000
Nd: 0.5000 0.5000 0.5000
Nd: 0.8352 0.1648 0.5000
Dy: 0.3326 0.6674 0.0000
Dy: 0.6674 0.3326 0.0000
Sb: 0.0818 0.4198 0.2447
Sb: 0.2577 0.2577 0.7575
Sb: 0.4198 0.0818 0.2447
Sb: 0.5802 0.9182 0.7553
Sb: 0.7423 0.7423 0.2425
Sb: 0.9182 0.5802 0.7553

Main lines, low angle first (15° ≤ 2θ ≤ 90°):
2theta  I_rel
24.34  2
28.18  100
40.27  76
49.87  27
58.27  13
65.96  35
73.21  26
87.02  8


2.
For Hf3Al2Cu4, the GGA-PBE geometry in Alexandria gives the theoretical PXRD pattern in this record (λ = 1.5418 Å (Cu Kα)).

Atomic structure:
Unit cell a=4.4739 b=4.4739 c=8.2730 alpha=90.00 beta=90.00 gamma=120.00
Element x y z (fractional)
Hf: 0.0000 0.0000 0.0000
Hf: 0.3333 0.6667 0.5925
Hf: 0.6667 0.3333 0.4075
Al: 0.3333 0.6667 0.2227
Al: 0.6667 0.3333 0.7773
Cu: 0.0000 0.0000 0.3413
Cu: 0.0000 0.0000 0.6587
Cu: 0.3333 0.6667 0.9174
Cu: 0.6667 0.3333 0.0826

Main lines, low angle first (15° ≤ 2θ ≤ 90°):
2theta  I_rel
21.48  17
25.38  59
31.64  20
40.14  82
40.32  100
58.20  27
73.18  27
73.30  17


3.
For Nd3Si2GeRh9, the GGA-PBE geometry in Alexandria gives the theoretical PXRD pattern in this record (λ = 1.5418 Å (Cu Kα)).

Atomic structure:
Unit cell a=6.4265 b=6.4265 c=7.8356 alpha=90.00 beta=90.00 gamma=120.00
Element x y z (fractional)
Nd: 0.0000 0.0000 0.0000
Nd: 0.3333 0.6667 0.6660
Nd: 0.6667 0.3333 0.3340
Si: 0.3333 0.6667 0.1602
Si: 0.6667 0.3333 0.8398
Ge: 0.0000 0.0000 0.5000
Rh: 0.0000 0.5000 0.0000
Rh: 0.1721 0.3442 0.3316
Rh: 0.1721 0.8279 0.3316
Rh: 0.3442 0.1721 0.6684
Rh: 0.5000 0.0000 0.0000
Rh: 0.5000 0.5000 0.0000
Rh: 0.6558 0.8279 0.3316
Rh: 0.8279 0.1721 0.6684
Rh: 0.8279 0.6558 0.6684

Main lines, low angle first (15° ≤ 2θ ≤ 90°):
2theta  I_rel
27.81  14
34.19  100
34.33  33
39.73  97
57.35  32
57.54  32
68.55  38
72.03  16